1.
This entry pairs a crystal structure of SnPPtO with its calculated X-ray powder pattern. Radiation: copper Kα. Structure: a DFT-relaxed cell (PBE, Alexandria).

Peak list (10 most intense, 2θ from 10° to 90°, most intense first)
2theta, Rel. int., index
12.07, 100.0, 0 0 1
32.01, 50.8, 1 0 -1
32.29, 50.6, 1 -1 1
32.94, 48.3, 0 1 1
36.21, 28.7, 0 1 -2
36.76, 27.5, 0 0 3
40.38, 27.1, 1 0 2
24.27, 24.0, 0 0 2
40.09, 23.6, -1 1 2
29.24, 18.2, 0 1 0

Structural model:
Lattice parameters (Å, degrees): 3.3640 3.4968 7.3766 95.08 90.60 118.53
Positions (direct):
Sn 0.0000 0.0000 0.0000
P 0.2782 0.5753 0.5119
Pt 0.6299 0.2697 0.6675
O 0.2521 0.5340 0.3046

***

2.
This entry pairs a crystal structure of SnPPtO with its calculated X-ray powder pattern. Radiation: copper Kα. Structure: a DFT-relaxed cell (PBE, Alexandria).

Peak list (10 most intense, 2θ from 10° to 90°, most intense first)
2theta, Rel. int., index
14.63, 100.0, 0 0 1
28.52, 73.0, 1 1 -1
36.92, 45.9, 1 1 -2
27.74, 30.3, 2 0 0
46.78, 28.4, 3 1 -1
35.26, 28.1, 2 0 1
43.34, 21.9, 1 1 2
49.08, 18.5, 0 2 1
46.61, 15.0, 0 2 0
56.82, 13.8, 1 1 3

Structural model:
Lattice parameters (Å, degrees): 6.7324 3.8974 6.3397 90.00 107.20 90.00
Positions (direct):
Sn 0.0000 0.0000 0.0000
Sn 0.5000 0.5000 0.0000
P 0.2799 0.5000 0.4043
P 0.7799 0.0000 0.4043
Pt 0.4006 0.0000 0.2361
Pt 0.9006 0.5000 0.2361
O 0.3356 0.5000 0.6639
O 0.8356 0.0000 0.6639

***

3.
This entry pairs a crystal structure of SnPPtO with its calculated X-ray powder pattern. Radiation: copper Kα. Structure: a DFT-relaxed cell (PBE, Alexandria).

Peak list (10 most intense, 2θ from 10° to 90°, most intense first)
2theta, Rel. int., index
31.20, 100.0, 1 1 -1
17.25, 61.6, 0 0 1
33.23, 45.2, 2 0 1
48.38, 35.9, 1 1 2
44.00, 33.3, 3 1 0
42.34, 27.0, 1 1 -2
23.24, 27.0, 2 0 0
35.53, 24.8, 2 0 -2
43.07, 22.1, 3 1 -1
65.10, 17.6, 1 1 3

Structural model:
Lattice parameters (Å, degrees): 8.0521 3.4808 5.4064 90.00 108.05 90.00
Positions (direct):
Sn 0.0000 0.0000 0.0000
Sn 0.5000 0.5000 0.0000
P 0.2822 0.5000 0.5203
P 0.7822 0.0000 0.5203
Pt 0.3395 0.0000 0.2748
Pt 0.8395 0.5000 0.2748
O 0.1067 0.5000 0.5867
O 0.6067 0.0000 0.5867